# 1
Tb4Se3N4: theoretical XRD peak list (copper Kα), based on a DFT-relaxed cell (PBE, OQMD).
Kinematic intensities with the Lorentz-polarization factor, no thermal factor.

Cell: 8.0311 6.9291 6.9291 Å, 32.99 90.00 90.00°
Sites, in units of the cell vectors:
Tb 0.0000 0.0000 0.0000
Tb 0.2429 0.3286 0.3286
Tb 0.5000 0.9900 0.9900
Tb 0.7571 0.3286 0.3286
Se 0.0000 0.6827 0.6827
Se 0.3327 0.6518 0.6518
Se 0.6673 0.6518 0.6518
N 0.0000 0.4163 0.4163
N 0.2454 0.9157 0.9157
N 0.5000 0.4000 0.4000
N 0.7546 0.9157 0.9157

Top 6 peaks for 2θ = 10–80°, in order of rising 2θ:
- d 3.437, 25.93 deg, I 52
- d 2.942, 30.38 deg, I 100
- d 2.750, 32.56 deg, I 57
- d 2.560, 35.06 deg, I 33
- d 1.931, 47.06 deg, I 21
- d 1.658, 55.40 deg, I 20



# 2
Ag2Hg7P8Br6: theoretical XRD peak list (copper Kα), based on a DFT-relaxed cell (PBE, OQMD).
Kinematic intensities with the Lorentz-polarization factor, no thermal factor.

Cell: 8.5936 8.5936 8.2796 Å, 98.74 98.74 80.50°
Sites, in units of the cell vectors:
Ag 0.0000 0.5000 0.0000
Ag 0.5000 0.0000 0.0000
Hg 0.0000 0.0000 0.5000
Hg 0.2678 0.6339 0.7349
Hg 0.2740 0.2740 0.3652
Hg 0.3661 0.7322 0.2651
Hg 0.6339 0.2678 0.7349
Hg 0.7260 0.7260 0.6348
Hg 0.7322 0.3661 0.2651
P 0.0761 0.7622 0.9244
P 0.0866 0.0866 0.2440
P 0.2378 0.9239 0.0756
P 0.4372 0.4372 0.5674
P 0.5628 0.5628 0.4326
P 0.7622 0.0761 0.9244
P 0.9134 0.9134 0.7560
P 0.9239 0.2378 0.0756
Br 0.0503 0.6377 0.3503
Br 0.3536 0.3536 0.0432
Br 0.3623 0.9497 0.6497
Br 0.6377 0.0503 0.3503
Br 0.6464 0.6464 0.9568
Br 0.9497 0.3623 0.6497

Top 6 peaks for 2θ = 10–80°, in order of rising 2θ:
- d 3.215, 27.75 deg, I 35
- d 3.194, 27.94 deg, I 54
- d 3.156, 28.27 deg, I 80
- d 2.802, 31.94 deg, I 100
- d 2.781, 32.19 deg, I 83
- d 2.749, 32.58 deg, I 97